For Nd8Rh3SeBr4, the PBE geometry in Alexandria gives the simulated PXRD pattern in this record (Cu Ka).
Kinematic intensities with the Lorentz-polarization factor, no thermal factor.

Atomic structure:
Cell lengths 9.0740, 9.0740, 9.0740 Å; angles 55.29, 55.29, 55.29 degrees
Sites, in units of the cell vectors:
Nd (0.2151, 0.7426, 0.7426)
Nd (0.2317, 0.2317, 0.2317)
Nd (0.2574, 0.2574, 0.7849)
Nd (0.2574, 0.7849, 0.2574)
Nd (0.7426, 0.2151, 0.7426)
Nd (0.7426, 0.7426, 0.2151)
Nd (0.7683, 0.7683, 0.7683)
Nd (0.7849, 0.2574, 0.2574)
Rh (0.0000, 0.0000, 0.5000)
Rh (0.0000, 0.5000, 0.0000)
Rh (0.5000, 0.0000, 0.0000)
Se (0.5000, 0.5000, 0.5000)
Br (0.0000, 0.0000, 0.0000)
Br (0.0000, 0.5000, 0.5000)
Br (0.5000, 0.0000, 0.5000)
Br (0.5000, 0.5000, 0.0000)

Main lines, in order of rising 2θ (15° ≤ 2θ ≤ 90°):
2θ = 29.00°, I 100
2θ = 36.84°, I 12
2θ = 39.95°, I 29
2θ = 42.96°, I 37
2θ = 50.33°, I 9
2θ = 52.67°, I 18
2θ = 56.66°, I 7
2θ = 60.10°, I 8
2θ = 70.23°, I 15
2θ = 76.69°, I 8



For Nd3RhSeBr, the PBE geometry in Alexandria gives the simulated PXRD pattern in this record (Cu Ka).
Kinematic intensities with the Lorentz-polarization factor, no thermal factor.

Atomic structure:
Cell lengths 8.5904, 4.0660, 9.8666 Å; angles 90.00, 105.55, 90.00 degrees
Sites, in units of the cell vectors:
Nd (0.0538, 0.2500, 0.3537)
Nd (0.2069, 0.2500, 0.0149)
Nd (0.3934, 0.7500, 0.6006)
Nd (0.6066, 0.2500, 0.3994)
Nd (0.7931, 0.7500, 0.9851)
Nd (0.9462, 0.7500, 0.6463)
Rh (0.1845, 0.2500, 0.6548)
Rh (0.8155, 0.7500, 0.3452)
Se (0.3057, 0.7500, 0.2685)
Se (0.6943, 0.2500, 0.7315)
Br (0.3795, 0.7500, 0.8912)
Br (0.6205, 0.2500, 0.1088)

Main lines, in order of rising 2θ (15° ≤ 2θ ≤ 90°):
2θ = 25.68°, I 21
2θ = 28.16°, I 40
2θ = 30.49°, I 35
2θ = 30.83°, I 100
2θ = 32.87°, I 28
2θ = 33.02°, I 23
2θ = 35.25°, I 37
2θ = 35.93°, I 31
2θ = 37.91°, I 18
2θ = 44.56°, I 44



Repeat the second record exactly.
For Nd3RhSeBr, the PBE geometry in Alexandria gives the simulated PXRD pattern in this record (Cu Ka).
Kinematic intensities with the Lorentz-polarization factor, no thermal factor.

Atomic structure:
Cell lengths 8.5904, 4.0660, 9.8666 Å; angles 90.00, 105.55, 90.00 degrees
Sites, in units of the cell vectors:
Nd (0.0538, 0.2500, 0.3537)
Nd (0.2069, 0.2500, 0.0149)
Nd (0.3934, 0.7500, 0.6006)
Nd (0.6066, 0.2500, 0.3994)
Nd (0.7931, 0.7500, 0.9851)
Nd (0.9462, 0.7500, 0.6463)
Rh (0.1845, 0.2500, 0.6548)
Rh (0.8155, 0.7500, 0.3452)
Se (0.3057, 0.7500, 0.2685)
Se (0.6943, 0.2500, 0.7315)
Br (0.3795, 0.7500, 0.8912)
Br (0.6205, 0.2500, 0.1088)

Main lines, in order of rising 2θ (15° ≤ 2θ ≤ 90°):
2θ = 25.68°, I 21
2θ = 28.16°, I 40
2θ = 30.49°, I 35
2θ = 30.83°, I 100
2θ = 32.87°, I 28
2θ = 33.02°, I 23
2θ = 35.25°, I 37
2θ = 35.93°, I 31
2θ = 37.91°, I 18
2θ = 44.56°, I 44